Simulated powder XRD pattern
Compound: NbVNO
Radiation: Cu Kα X-rays
Structure: the PBE+U geometry in Alexandria
Peak positions follow from Bragg's law for the DFT cell and can differ from measured ones.

Crystal structure
a b c (Å): 2.8898 2.9155 10.0163
angles (deg): 90.00 90.00 90.00
Fractional coordinates of all 8 atoms:
Nb  0.0000  0.0000  0.0000
Nb  0.5000  0.5000  0.5000
V  0.0000  0.5000  0.2472
V  0.5000  0.0000  0.7472
N  0.0000  0.0000  0.5831
N  0.5000  0.5000  0.0831
O  0.0000  0.5000  0.8251
O  0.5000  0.0000  0.3251

Largest 8 diffraction maxima, most intense first, 10 to 90 degrees two-theta:
47.9°, I 1000, hkl 1 1 2; 32.2°, I 561, hkl 1 0 1; 32.0°, I 456, hkl 0 1 1; 41.1°, I 432, hkl 0 1 3; 35.9°, I 416, hkl 0 0 4; 41.3°, I 287, hkl 1 0 3; 17.7°, I 231, hkl 0 0 2; 55.8°, I 205, hkl 1 0 5